# 1
PrErCo: computed X-ray powder pattern (λ = 1.5418 Å (Cu Kα)), based on a PBE-relaxed structure.
Lines closer than 0.1° are merged.

Cell and atoms:
abc: 6.224 3.739 6.869
angles: 90.00 92.50 90.00
Atoms (fractional coordinates):
1 Pr 0.137 0.250 0.307
2 Pr 0.863 0.750 0.693
3 Er 0.356 0.250 0.807
4 Er 0.644 0.750 0.193
5 Co 0.389 0.750 0.529
6 Co 0.611 0.250 0.471

Top 8 peaks for 2θ = 10–90°, sorted by position:
2θ = 26.0°, 3.431 Å, intensity 27.1; 2θ = 27.8°, 3.204 Å, intensity 59.3; 2θ = 31.1°, 2.879 Å, intensity 100.0; 2θ = 32.1°, 2.787 Å, intensity 50.7; 2θ = 35.5°, 2.528 Å, intensity 40.3; 2θ = 38.0°, 2.369 Å, intensity 38.6; 2θ = 51.7°, 1.769 Å, intensity 24.7; 2θ = 59.5°, 1.553 Å, intensity 27.7

=====

# 2
Er12Co6Pt: computed X-ray powder pattern (λ = 1.5418 Å (Cu Kα)), based on a PBE-relaxed structure.
Lines closer than 0.1° are merged.

Cell and atoms:
abc: 8.170 8.170 8.170
angles: 109.47 109.47 109.47
Atoms (fractional coordinates):
1 Er 0.104 0.297 0.807
2 Er 0.193 0.490 0.297
3 Er 0.193 0.896 0.703
4 Er 0.297 0.193 0.490
5 Er 0.297 0.807 0.104
6 Er 0.490 0.297 0.193
7 Er 0.510 0.703 0.807
8 Er 0.703 0.193 0.896
9 Er 0.703 0.807 0.510
10 Er 0.807 0.104 0.297
11 Er 0.807 0.510 0.703
12 Er 0.896 0.703 0.193
13 Co 0.115 0.500 0.615
14 Co 0.385 0.885 0.500
15 Co 0.500 0.385 0.885
16 Co 0.500 0.615 0.115
17 Co 0.615 0.115 0.500
18 Co 0.885 0.500 0.385
19 Pt 0.000 0.000 0.000

Top 8 peaks for 2θ = 10–90°, sorted by position:
2θ = 30.0°, 2.983 Å, intensity 42.8; 2θ = 32.9°, 2.723 Å, intensity 60.6; 2θ = 35.6°, 2.521 Å, intensity 100.0; 2θ = 38.2°, 2.359 Å, intensity 24.2; 2θ = 49.2°, 1.850 Å, intensity 21.5; 2θ = 56.9°, 1.618 Å, intensity 36.2; 2θ = 60.5°, 1.530 Å, intensity 39.2; 2θ = 70.6°, 1.334 Å, intensity 22.2